[1]
MgVPO5: simulated powder diffractogram (Cu Kα (weighted mean of Kα1 and Kα2)), based on a structure optimized by DFT (PBE+U).
No peak broadening, texture or thermal motion is included.

Top 10 peaks for 10° ≤ 2θ ≤ 90°, most intense first:
- hkl 1 1 0, 28.65°, d = 3.116 Å, I 100
- hkl 0 1 -2, 27.47°, d = 3.247 Å, I 78
- hkl 1 -2 0, 35.16°, d = 2.552 Å, I 56
- hkl 1 0 -2, 27.84°, d = 3.204 Å, I 51
- hkl 2 0 2, 53.55°, d = 1.711 Å, I 29
- hkl -1 1 2, 35.36°, d = 2.538 Å, I 27
- hkl 2 -1 0, 35.77°, d = 2.510 Å, I 24
- hkl 1 1 -4, 52.28°, d = 1.750 Å, I 23
- hkl 1 0 0, 17.99°, d = 4.932 Å, I 19
- hkl 1 2 -2, 42.17°, d = 2.143 Å, I 16

Cell and atoms:
a b c (Å): 5.3067 5.4514 7.0488
angles (deg): 105.51 104.48 101.24
Space group P1 (No. 1)
Inequivalent atoms, fractional coordinates:
Mg1 0.0000 0.0000 0.0000 x1
Mg2 0.3913 0.6912 0.4700 x1
V1 0.7162 0.3698 0.2571 x1
V2 0.7179 0.3626 0.7559 x1
P1 0.0537 0.0250 0.5014 x1
P2 0.3869 0.7195 0.0146 x1
O1 0.0057 0.7366 0.3530 x1
O2 0.0395 0.2167 0.3739 x1
O3 0.0980 0.6441 0.8560 x1
O4 0.3462 0.0754 0.6477 x1
O5 0.4042 0.5461 0.1573 x1
O6 0.4135 0.0098 0.1461 x1
O7 0.6071 0.7080 0.9066 x1
O8 0.6255 0.4643 0.5109 x1
O9 0.8144 0.2736 0.0059 x1
O10 0.8468 0.0304 0.6220 x1

[2]
MnP2O7: simulated powder diffractogram (Cu Kα (weighted mean of Kα1 and Kα2)), based on a structure optimized by DFT (PBE+U).
No peak broadening, texture or thermal motion is included.

Top 10 peaks for 10° ≤ 2θ ≤ 90°, most intense first:
- hkl 1 1 0, 17.69°, d = 5.013 Å, I 100
- hkl 0 2 2, 30.34°, d = 2.946 Å, I 55
- hkl 0 1 1, 15.03°, d = 5.893 Å, I 44
- hkl 2 0 -2, 28.43°, d = 3.140 Å, I 38
- hkl 1 1 2, 30.20°, d = 2.959 Å, I 34
- hkl 1 1 -2, 23.29°, d = 3.820 Å, I 26
- hkl 1 2 1, 29.88°, d = 2.991 Å, I 20
- hkl 2 2 0, 35.82°, d = 2.507 Å, I 16
- hkl 1 3 2, 44.52°, d = 2.035 Å, I 12
- hkl 3 1 -2, 41.78°, d = 2.162 Å, I 12

Cell and atoms:
a b c (Å): 6.8429 7.9296 9.3128
angles (deg): 90.00 108.99 90.00
Space group P2_1/c (No. 14)
Inequivalent atoms, fractional coordinates:
Mn1 0.2208 0.2223 0.0076 x4
P1 0.0353 0.5944 0.2953 x4
P2 0.4316 0.0350 0.7949 x4
O1 0.0111 0.2385 0.1098 x4
O2 0.0268 0.0794 0.8665 x4
O3 0.1027 0.0938 0.3716 x4
O4 0.2703 0.6149 0.2955 x4
O5 0.3553 0.0499 0.1546 x4
O6 0.3913 0.1023 0.6340 x4
O7 0.4180 0.1752 0.9064 x4

[3]
Li2V2SnO6: simulated powder diffractogram (Cu Kα (weighted mean of Kα1 and Kα2)), based on a structure optimized by DFT (PBE+U).
No peak broadening, texture or thermal motion is included.

Top 10 peaks for 10° ≤ 2θ ≤ 90°, most intense first:
- hkl 0 0 2, 17.17°, d = 5.166 Å, I 100
- hkl 1 3 1, 34.72°, d = 2.584 Å, I 45
- hkl 1 3 3, 42.88°, d = 2.109 Å, I 40
- hkl 2 0 2, 37.74°, d = 2.384 Å, I 21
- hkl 1 3 5, 56.31°, d = 1.634 Å, I 20
- hkl 3 3 1, 60.48°, d = 1.531 Å, I 19
- hkl 1 1 1, 20.98°, d = 4.235 Å, I 18
- hkl 0 0 8, 73.29°, d = 1.292 Å, I 15
- hkl 2 0 4, 48.91°, d = 1.862 Å, I 15
- hkl 2 0 0, 33.35°, d = 2.687 Å, I 11

Cell and atoms:
a b c (Å): 5.3740 9.2227 10.3315
angles (deg): 90.00 90.00 90.00
Space group C222_1 (No. 20)
Inequivalent atoms, fractional coordinates:
Li1 0.1083 0.0000 0.0000 x4
Li2 0.1087 0.5000 0.0000 x4
V1 0.0000 0.0859 0.7500 x4
V2 0.0000 0.4142 0.7500 x4
Sn1 0.0000 0.2501 0.2500 x4
O1 0.1594 0.4257 0.3589 x8
O2 0.1600 0.0742 0.3587 x8
O3 0.1654 0.2494 0.6531 x8

[4]
K2MnV14O40: simulated powder diffractogram (Cu Kα (weighted mean of Kα1 and Kα2)), based on a structure optimized by DFT (PBE+U).
No peak broadening, texture or thermal motion is included.

Top 10 peaks for 10° ≤ 2θ ≤ 90°, most intense first:
- hkl 1 1 0, 10.82°, d = 8.174 Å, I 100
- hkl 2 2 4, 28.14°, d = 3.171 Å, I 98
- hkl 5 0 1, 39.22°, d = 2.297 Å, I 57
- hkl 4 0 0, 30.93°, d = 2.891 Å, I 47
- hkl 2 0 2, 17.70°, d = 5.010 Å, I 42
- hkl 6 0 0, 47.17°, d = 1.927 Å, I 26
- hkl 0 0 8, 35.78°, d = 2.510 Å, I 23
- hkl 7 2 5, 62.95°, d = 1.477 Å, I 23
- hkl 1 1 2, 13.96°, d = 6.342 Å, I 22
- hkl 2 0 0, 15.30°, d = 5.790 Å, I 20

Cell and atoms:
a b c (Å): 11.5601 11.5601 20.1028
angles (deg): 90.00 90.00 90.00
Space group I4/mmm (No. 139)
Inequivalent atoms, fractional coordinates:
K1 0.0000 0.5000 0.0000 x4
Mn1 0.0000 0.0000 0.0000 x2
V1 0.0000 0.0000 0.2171 x4
V2 0.0000 0.1991 0.1077 x16
V3 0.2014 0.2014 0.0000 x8
O1 0.0000 0.0000 0.0932 x4
O2 0.0000 0.0000 0.2970 x4
O3 0.0000 0.1608 0.1920 x16
O4 0.0000 0.1689 0.0000 x8
O5 0.0000 0.3398 0.1037 x16
O6 0.1540 0.3102 0.5000 x16
O7 0.1631 0.1631 0.0908 x16

[5]
Li9Mn2Co5O16: simulated powder diffractogram (Cu Kα (weighted mean of Kα1 and Kα2)), based on a structure optimized by DFT (PBE+U).
No peak broadening, texture or thermal motion is included.

Top 10 peaks for 10° ≤ 2θ ≤ 90°, most intense first:
- hkl 0 0 1, 18.26°, d = 4.858 Å, I 100
- hkl 2 4 -2, 43.65°, d = 2.074 Å, I 54
- hkl 4 0 0, 42.90°, d = 2.108 Å, I 28
- hkl 2 4 -1, 36.04°, d = 2.492 Å, I 27
- hkl 2 4 2, 62.66°, d = 1.483 Å, I 15
- hkl 6 4 -2, 63.06°, d = 1.474 Å, I 15
- hkl 4 0 -1, 35.48°, d = 2.530 Å, I 14
- hkl 2 4 1, 47.45°, d = 1.916 Å, I 13
- hkl 2 4 -3, 57.46°, d = 1.604 Å, I 10
- hkl 2 4 0, 37.55°, d = 2.395 Å, I 7

Cell and atoms:
a b c (Å): 10.2583 11.6423 5.9102
angles (deg): 90.00 124.71 90.00
Space group C2 (No. 5)
Inequivalent atoms, fractional coordinates:
Li1 0.0000 0.0000 0.0000 x2
Li2 0.0000 0.0006 0.5000 x2
Li3 0.0000 0.2502 0.0000 x2
Li4 0.0000 0.5026 0.0000 x2
Li5 0.0000 0.7512 0.0000 x2
Li6 0.2435 0.8775 0.9866 x4
Li7 0.2453 0.1252 0.9937 x4
Mn1 0.0000 0.2497 0.5000 x2
Mn2 0.0000 0.5020 0.5000 x2
Co1 0.0000 0.7568 0.5000 x2
Co2 0.2432 0.1258 0.4924 x4
Co3 0.2428 0.8797 0.4974 x4
O1 0.0011 0.3771 0.2798 x4
O2 0.0027 0.6207 0.2760 x4
O3 0.0050 0.1353 0.2710 x4
O4 0.0091 0.8699 0.2636 x4
O5 0.2306 0.2536 0.7192 x4
O6 0.2325 0.5017 0.7286 x4
O7 0.2444 0.7485 0.7259 x4
O8 0.2447 0.5009 0.2741 x4

[6]
CeCrSe2O: simulated powder diffractogram (Cu Kα (weighted mean of Kα1 and Kα2)), based on a structure optimized by DFT (PBE+U).
No peak broadening, texture or thermal motion is included.

Top 10 peaks for 10° ≤ 2θ ≤ 90°, most intense first:
- hkl 3 1 1, 34.40°, d = 2.607 Å, I 100
- hkl 1 1 -2, 32.12°, d = 2.786 Å, I 64
- hkl 0 2 0, 46.22°, d = 1.964 Å, I 44
- hkl 4 0 -1, 32.73°, d = 2.736 Å, I 43
- hkl 0 0 3, 31.99°, d = 2.798 Å, I 38
- hkl 3 1 -2, 39.07°, d = 2.305 Å, I 27
- hkl 1 1 3, 40.40°, d = 2.233 Å, I 25
- hkl 2 0 -2, 26.17°, d = 3.405 Å, I 22
- hkl 1 1 1, 26.25°, d = 3.395 Å, I 21
- hkl 3 1 4, 55.24°, d = 1.663 Å, I 20

Cell and atoms:
a b c (Å): 11.5416 3.9262 8.3946
angles (deg): 90.00 90.49 90.00
Space group C2/m (No. 12)
Inequivalent atoms, fractional coordinates:
Ce1 0.2281 0.0000 0.3082 x4
Cr1 0.0000 0.0000 0.0000 x2
Cr2 0.0000 0.5000 0.5000 x2
Se1 0.0522 0.0000 0.7033 x4
Se2 0.1455 0.5000 0.0358 x4
O1 0.1724 0.5000 0.4370 x4

[7]
Ca8Mn7CrO24: simulated powder diffractogram (Cu Kα (weighted mean of Kα1 and Kα2)), based on a structure optimized by DFT (PBE+U).
No peak broadening, texture or thermal motion is included.

Top 10 peaks for 10° ≤ 2θ ≤ 90°, most intense first:
- hkl 2 2 0, 33.30°, d = 2.691 Å, I 100
- hkl 4 0 0, 47.80°, d = 1.903 Å, I 53
- hkl 4 2 2, 59.50°, d = 1.554 Å, I 34
- hkl 4 4 0, 69.92°, d = 1.345 Å, I 27
- hkl 2 0 0, 23.38°, d = 3.806 Å, I 19
- hkl 6 2 0, 79.67°, d = 1.203 Å, I 14
- hkl 4 4 4, 89.14°, d = 1.099 Å, I 9
- hkl 2 2 2, 41.08°, d = 2.197 Å, I 6
- hkl 4 2 0, 53.87°, d = 1.702 Å, I 6
- hkl 6 0 0, 74.85°, d = 1.269 Å, I 2

Cell and atoms:
a b c (Å): 7.6111 7.6111 7.6111
angles (deg): 90.00 90.00 90.00
Space group Pm-3m (No. 221)
Inequivalent atoms, fractional coordinates:
Ca1 0.2489 0.2489 0.2489 x8
Mn1 0.0000 0.0000 0.0000 x1
Mn2 0.0000 0.0000 0.5000 x3
Mn3 0.0000 0.5000 0.5000 x3
Cr1 0.5000 0.5000 0.5000 x1
O1 0.0000 0.0000 0.2501 x6
O2 0.0000 0.2498 0.5000 x12
O3 0.2490 0.5000 0.5000 x6

[8]
BaZnFeF7: simulated powder diffractogram (Cu Kα (weighted mean of Kα1 and Kα2)), based on a structure optimized by DFT (PBE+U).
No peak broadening, texture or thermal motion is included.

Top 10 peaks for 10° ≤ 2θ ≤ 90°, most intense first:
- hkl 1 2 -1, 25.00°, d = 3.562 Å, I 100
- hkl 1 1 2, 26.29°, d = 3.390 Å, I 52
- hkl 1 4 1, 40.32°, d = 2.237 Å, I 30
- hkl 0 1 3, 28.96°, d = 3.083 Å, I 26
- hkl 2 0 0, 31.44°, d = 2.845 Å, I 22
- hkl 3 2 -1, 51.86°, d = 1.763 Å, I 22
- hkl 2 2 -2, 40.03°, d = 2.252 Å, I 20
- hkl 1 2 5, 53.84°, d = 1.703 Å, I 18
- hkl 0 2 4, 41.25°, d = 2.189 Å, I 18
- hkl 1 3 0, 30.83°, d = 2.900 Å, I 16

Cell and atoms:
a b c (Å): 5.6993 10.1136 9.7266
angles (deg): 90.00 93.12 90.00
Space group P2_1/c (No. 14)
Inequivalent atoms, fractional coordinates:
Ba1 0.2380 0.1786 0.0012 x4
Zn1 0.2005 0.6019 0.8106 x4
Fe1 0.3031 0.6097 0.1881 x4
F1 0.0269 0.7089 0.2471 x4
F2 0.1107 0.5417 0.6250 x4
F3 0.1345 0.0495 0.6306 x4
F4 0.2407 0.6891 0.0020 x4
F5 0.3898 0.0575 0.3765 x4
F6 0.3901 0.5413 0.3670 x4
F7 0.4754 0.7235 0.7473 x4